No. 1
Computed X-ray diffraction stick pattern
Compound: K2MnSnH6
Radiation: Cu Ka
Structure: a DFT-relaxed cell (GGA-PBE, Alexandria)

Lattice parameters (Å, degrees): 5.781 5.781 5.781 119.95 119.95 90.01
Positions (direct):
1 K 0.250 0.750 0.000
2 K 0.750 0.250 0.000
3 Mn 0.000 0.000 0.500
4 Sn 0.500 0.500 0.500
5 H 0.220 0.220 0.500
6 H 0.220 0.220 0.940
7 H 0.220 0.780 0.500
8 H 0.780 0.220 0.500
9 H 0.780 0.780 0.060
10 H 0.780 0.780 0.500

Main lines, by angle (10 to 90 degrees two-theta):
2θ 18.79, intensity 12
2θ 21.73, intensity 17
2θ 30.92, intensity 100
2θ 36.43, intensity 9
2θ 44.29, intensity 19
2θ 49.84, intensity 6
2θ 54.99, intensity 31
2θ 55.04, intensity 6
2θ 64.40, intensity 6
2θ 64.47, intensity 6
2θ 73.22, intensity 10
2θ 89.72, intensity 11

No. 2
Computed X-ray diffraction stick pattern
Compound: K2MnTl2H6
Radiation: Cu Ka
Structure: a DFT-relaxed cell (GGA-PBE, Alexandria)

Lattice parameters (Å, degrees): 6.565 6.565 5.175 93.81 93.81 120.71
Positions (direct):
1 K 0.155 0.845 0.000
2 K 0.845 0.155 0.000
3 Mn 0.500 0.500 0.000
4 Tl 0.347 0.653 0.500
5 Tl 0.653 0.347 0.500
6 H 0.239 0.443 0.866
7 H 0.328 0.328 0.213
8 H 0.443 0.239 0.866
9 H 0.557 0.761 0.134
10 H 0.672 0.672 0.787
11 H 0.761 0.557 0.134

Main lines, by angle (10 to 90 degrees two-theta):
2θ 15.81, intensity 97
2θ 17.29, intensity 40
2θ 22.08, intensity 35
2θ 24.87, intensity 27
2θ 27.23, intensity 27
2θ 27.72, intensity 62
2θ 31.39, intensity 100
2θ 33.46, intensity 74
2θ 35.00, intensity 34
2θ 42.00, intensity 22
2θ 49.95, intensity 23
2θ 54.18, intensity 21

No. 3
Computed X-ray diffraction stick pattern
Compound: K2MoH7
Radiation: Cu Ka
Structure: a DFT-relaxed cell (GGA-PBE, Alexandria)

Lattice parameters (Å, degrees): 6.935 6.935 6.662 118.07 118.07 53.19
Positions (direct):
1 K 0.150 0.189 0.145
2 K 0.189 0.150 0.645
3 K 0.811 0.850 0.355
4 K 0.850 0.811 0.855
5 Mo 0.484 0.516 0.750
6 Mo 0.516 0.484 0.250
7 H 0.192 0.600 0.197
8 H 0.198 0.802 0.750
9 H 0.224 0.466 0.570
10 H 0.336 0.539 0.948
11 H 0.400 0.808 0.303
12 H 0.461 0.664 0.552
13 H 0.466 0.224 0.070
14 H 0.534 0.776 0.930
15 H 0.539 0.336 0.448
16 H 0.600 0.192 0.697
17 H 0.664 0.461 0.052
18 H 0.776 0.534 0.430
19 H 0.802 0.198 0.250
20 H 0.808 0.400 0.803

Main lines, by angle (10 to 90 degrees two-theta):
2θ 16.57, intensity 49
2θ 16.81, intensity 20
2θ 28.75, intensity 50
2θ 29.19, intensity 100
2θ 31.55, intensity 80
2θ 31.74, intensity 33
2θ 31.97, intensity 32
2θ 43.24, intensity 14
2θ 43.52, intensity 36
2θ 51.22, intensity 18
2θ 53.81, intensity 14
2θ 63.32, intensity 16

Repeat the second record exactly.
Computed X-ray diffraction stick pattern
Compound: K2MnTl2H6
Radiation: Cu Ka
Structure: a DFT-relaxed cell (GGA-PBE, Alexandria)

Lattice parameters (Å, degrees): 6.565 6.565 5.175 93.81 93.81 120.71
Positions (direct):
1 K 0.155 0.845 0.000
2 K 0.845 0.155 0.000
3 Mn 0.500 0.500 0.000
4 Tl 0.347 0.653 0.500
5 Tl 0.653 0.347 0.500
6 H 0.239 0.443 0.866
7 H 0.328 0.328 0.213
8 H 0.443 0.239 0.866
9 H 0.557 0.761 0.134
10 H 0.672 0.672 0.787
11 H 0.761 0.557 0.134

Main lines, by angle (10 to 90 degrees two-theta):
2θ 15.81, intensity 97
2θ 17.29, intensity 40
2θ 22.08, intensity 35
2θ 24.87, intensity 27
2θ 27.23, intensity 27
2θ 27.72, intensity 62
2θ 31.39, intensity 100
2θ 33.46, intensity 74
2θ 35.00, intensity 34
2θ 42.00, intensity 22
2θ 49.95, intensity 23
2θ 54.18, intensity 21

Question: Number 3 is which compound?
Answer: K2MoH7